Calculated XRD peak list
Compound: Na2PrZnF8
Radiation: copper Kα
Structure: a structure optimized by DFT (PBE)
No peak broadening, texture or thermal motion is included.

Cell and atoms:
Unit cell a=4.097 b=7.346 c=5.527 alpha=90.00 beta=94.52 gamma=90.00
Space group P2/m (No. 10)
Unique sites:
Na: 0.000 0.233 0.000 [2 per cell]
Pr: 0.500 0.500 0.500 [1 per cell]
Zn: 0.500 0.000 0.500 [1 per cell]
F: 0.002 0.500 0.257 [2 per cell]
F: 0.107 0.000 0.285 [2 per cell]
F: 0.429 0.226 0.726 [4 per cell]

Principal peaks in the range 15° ≤ 2θ ≤ 90°, in order of rising 2θ:
2θ/deg, Rel. int., (hkl)
16.1, 100, 0 0 1
21.8, 38, 1 0 0
24.2, 31, 0 2 0
26.1, 59, 1 0 -1
28.2, 56, 1 0 1
29.2, 93, 0 2 1
35.9, 33, 1 2 -1
44.4, 27, 2 0 0
45.5, 66, 1 2 -2
48.1, 45, 1 2 2